Theoretical powder diffractogram
Compound: CeH7Pt5
Radiation: Cu Kα
Structure: a DFT-relaxed cell (GGA-PBE, Alexandria)
Intensities are scaled so that the largest is 100.

Main lines, by angle (5° ≤ 2θ ≤ 70°):
2θ (°)	I_rel
28.71	35
34.00	35
34.64	52
35.46	52
36.45	35
38.65	100
41.79	38
43.89	34

Structural model:
Cell lengths 5.1616, 5.5001, 5.6149 Å; angles 83.95, 70.07, 79.30 degrees
Positions (direct):
Ce 0.0000 0.0000 0.0000
H 0.1390 0.4215 0.2073
H 0.3898 0.0321 0.3929
H 0.5429 0.8801 0.8707
H 0.5721 0.6392 0.1823
H 0.5772 0.3216 0.9510
H 0.6760 0.2815 0.3544
H 0.9696 0.0560 0.5407
Pt 0.2157 0.7860 0.4879
Pt 0.2748 0.4051 0.8770
Pt 0.6276 0.0375 0.5669
Pt 0.7614 0.5834 0.8583
Pt 0.8040 0.5673 0.3640

---

Theoretical powder diffractogram
Compound: ScPaCuMo
Radiation: Cu Kα
Structure: a DFT-relaxed cell (GGA-PBE, Alexandria)
Intensities are scaled so that the largest is 100.

Main lines, by angle (5° ≤ 2θ ≤ 70°):
2θ (°)	I_rel
22.84	41
26.43	7
37.72	100
44.55	23
54.41	17
59.76	10
61.48	3
68.10	34

Structural model:
Cell lengths 6.7451, 6.7451, 6.7451 Å; angles 90.00, 90.00, 90.00 degrees
Positions (direct):
Sc 0.0000 0.0000 0.0000
Sc 0.0000 0.5000 0.5000
Sc 0.5000 0.0000 0.5000
Sc 0.5000 0.5000 0.0000
Pa 0.0000 0.0000 0.5000
Pa 0.0000 0.5000 0.0000
Pa 0.5000 0.0000 0.0000
Pa 0.5000 0.5000 0.5000
Cu 0.2500 0.2500 0.7500
Cu 0.2500 0.7500 0.2500
Cu 0.7500 0.2500 0.2500
Cu 0.7500 0.7500 0.7500
Mo 0.2500 0.2500 0.2500
Mo 0.2500 0.7500 0.7500
Mo 0.7500 0.2500 0.7500
Mo 0.7500 0.7500 0.2500

---

Theoretical powder diffractogram
Compound: Er7ZrAl4
Radiation: Cu Kα
Structure: a DFT-relaxed cell (GGA-PBE, Alexandria)
Intensities are scaled so that the largest is 100.

Main lines, by angle (5° ≤ 2θ ≤ 70°):
2θ (°)	I_rel
24.64	80
26.64	64
29.70	62
31.51	77
31.92	75
33.32	100
38.27	49
45.23	44

Structural model:
Cell lengths 7.4261, 7.4261, 10.0426 Å; angles 121.68, 121.68, 42.45 degrees
Positions (direct):
Er 0.0000 0.0000 0.0000
Er 0.2169 0.2169 0.6666
Er 0.2918 0.2918 0.1182
Er 0.4331 0.4331 0.6078
Er 0.5669 0.5669 0.3922
Er 0.7082 0.7082 0.8818
Er 0.7831 0.7831 0.3334
Zr 0.5000 0.5000 0.0000
Al 0.0523 0.0523 0.7531
Al 0.1765 0.1765 0.3379
Al 0.8235 0.8235 0.6621
Al 0.9477 0.9477 0.2469

---

Theoretical powder diffractogram
Compound: KCePaO6
Radiation: Cu Kα
Structure: a DFT-relaxed cell (GGA-PBE, Alexandria)
Intensities are scaled so that the largest is 100.

Main lines, by angle (5° ≤ 2θ ≤ 70°):
2θ (°)	I_rel
16.77	38
24.78	100
29.27	40
38.72	32
47.62	32
49.26	32
51.90	13
66.59	13

Structural model:
Cell lengths 6.1034, 6.1034, 4.8969 Å; angles 90.00, 90.00, 120.00 degrees
Positions (direct):
K 0.0000 0.0000 0.0000
Ce 0.3333 0.6667 0.0000
Pa 0.6667 0.3333 0.5000
O 0.4096 0.0106 0.2481
O 0.4096 0.3990 0.7519
O 0.6010 0.0106 0.7519
O 0.6010 0.5904 0.2481
O 0.9894 0.3990 0.2481
O 0.9894 0.5904 0.7519

---

Theoretical powder diffractogram
Compound: Ta6Cr3Cu3C2
Radiation: Cu Kα
Structure: a DFT-relaxed cell (GGA-PBE, Alexandria)
Intensities are scaled so that the largest is 100.

Main lines, by angle (5° ≤ 2θ ≤ 70°):
2θ (°)	I_rel
31.09	39
33.86	23
38.21	48
38.46	31
40.66	100
40.86	68
44.52	28
69.17	35

Structural model:
Cell lengths 8.1405, 8.1405, 8.1405 Å; angles 120.39, 119.75, 89.88 degrees
Positions (direct):
Ta 0.0000 0.0000 0.0000
Ta 0.0012 0.0039 0.6198
Ta 0.0012 0.3814 0.9974
Ta 0.2479 0.1363 0.5009
Ta 0.2479 0.7470 0.1115
Ta 0.2509 0.7509 0.5000
Ta 0.3840 0.0039 0.0026
Ta 0.3840 0.3814 0.3802
Ta 0.3841 0.3841 0.0000
Ta 0.6354 0.1363 0.8885
Ta 0.6354 0.7470 0.4991
Ta 0.6375 0.1375 0.5000
Cr 0.0219 0.3683 0.6535
Cr 0.3161 0.5621 0.7540
Cr 0.7148 0.3683 0.3465
Cr 0.8081 0.5621 0.2460
Cr 0.8168 0.0829 0.2660
Cr 0.8168 0.5508 0.7340
Cu 0.0273 0.3645 0.3372
Cu 0.0273 0.6901 0.6628
Cu 0.6108 0.4476 0.8368
Cu 0.6108 0.7740 0.1632
Cu 0.6114 0.7737 0.8377
Cu 0.9360 0.7737 0.1623
C 0.3156 0.0656 0.2500
C 0.3170 0.0665 0.7495
C 0.3170 0.5674 0.2505
C 0.8156 0.0656 0.7500

---

Theoretical powder diffractogram
Compound: Ho3NpS4
Radiation: Cu Kα
Structure: a DFT-relaxed cell (GGA-PBE, Alexandria)
Intensities are scaled so that the largest is 100.

Main lines, by angle (5° ≤ 2θ ≤ 70°):
2θ (°)	I_rel
28.06	68
28.26	22
32.57	100
46.60	37
46.86	36
55.40	22
58.01	19
68.23	12

Structural model:
Cell lengths 12.8306, 12.8306, 12.8306 Å; angles 17.47, 17.47, 17.47 degrees
Positions (direct):
Ho 0.0000 0.0000 0.0000
Ho 0.2489 0.2489 0.2489
Ho 0.7511 0.7511 0.7511
Np 0.5000 0.5000 0.5000
S 0.1249 0.1249 0.1249
S 0.3750 0.3750 0.3750
S 0.6250 0.6250 0.6250
S 0.8751 0.8751 0.8751

---

Theoretical powder diffractogram
Compound: OsPt2Cl4
Radiation: Cu Kα
Structure: a DFT-relaxed cell (GGA-PBE, Alexandria)
Intensities are scaled so that the largest is 100.

Main lines, by angle (5° ≤ 2θ ≤ 70°):
2θ (°)	I_rel
15.05	41
24.89	100
28.79	36
35.49	63
42.34	60
46.32	21
51.06	22
56.40	52

Structural model:
Cell lengths 5.0592, 5.0592, 11.7743 Å; angles 90.00, 90.00, 90.00 degrees
Positions (direct):
Os 0.0000 0.0000 0.0000
Os 0.5000 0.5000 0.5000
Pt 0.0000 0.0000 0.3927
Pt 0.0000 0.0000 0.6073
Pt 0.5000 0.5000 0.1073
Pt 0.5000 0.5000 0.8927
Cl 0.0000 0.0000 0.1947
Cl 0.0000 0.0000 0.8053
Cl 0.0000 0.5000 0.0000
Cl 0.0000 0.5000 0.5000
Cl 0.5000 0.0000 0.0000
Cl 0.5000 0.0000 0.5000
Cl 0.5000 0.5000 0.3053
Cl 0.5000 0.5000 0.6947

---

Theoretical powder diffractogram
Compound: BaYHgTe3
Radiation: Cu Kα
Structure: a DFT-relaxed cell (GGA-PBE, Alexandria)
Intensities are scaled so that the largest is 100.

Main lines, by angle (5° ≤ 2θ ≤ 70°):
2θ (°)	I_rel
8.42	31
11.49	24
24.88	26
25.44	22
28.78	100
31.56	33
34.90	20
40.29	31

Structural model:
Cell lengths 8.9036, 4.4768, 10.8733 Å; angles 90.00, 104.95, 90.00 degrees
Positions (direct):
Ba 0.2278 0.2500 0.2839
Ba 0.7722 0.7500 0.7161
Y 0.3321 0.7500 0.8335
Y 0.6679 0.2500 0.1665
Hg 0.1048 0.2500 0.5661
Hg 0.8952 0.7500 0.4339
Te 0.0892 0.2500 0.8371
Te 0.3482 0.7500 0.5521
Te 0.4182 0.7500 0.1289
Te 0.5818 0.2500 0.8711
Te 0.6518 0.2500 0.4479
Te 0.9108 0.7500 0.1629

---

What is the formula in the second record?
ScPaCuMo